(1)
# PbI2
Computed XRD peak list, Cu Kα, 1.54184 Å. Input: the GGA-PBE geometry in the Materials Project.
Peak positions follow from Bragg's law for the DFT cell and can differ from measured ones.

Peak list (6 most intense, 10° ≤ 2θ ≤ 90°, low angle first)
2theta, I/Imax
11.23, 58.2
22.23, 28.7
26.65, 100.0
37.67, 39.4
38.43, 38.5
47.38, 21.0

Atomic structure:
Cell: 4.685 4.685 23.632 Å, 90.00 90.00 120.00°
Fractional positions:
1 Pb 0.000 0.000 0.000
2 Pb 0.333 0.667 0.667
3 Pb 0.667 0.333 0.333
4 I 0.000 0.000 0.255
5 I 0.000 0.000 0.745
6 I 0.333 0.667 0.412
7 I 0.333 0.667 0.921
8 I 0.667 0.333 0.079
9 I 0.667 0.333 0.588

(2)
# As2Se3
Computed XRD peak list, Cu Kα, 1.54184 Å. Input: the GGA-PBE geometry in the Materials Project.
Peak positions follow from Bragg's law for the DFT cell and can differ from measured ones.

Peak list (6 most intense, 10° ≤ 2θ ≤ 90°, low angle first)
2theta, I/Imax
12.54, 20.2
16.18, 19.1
30.19, 48.7
31.10, 100.0
39.85, 25.4
47.65, 30.8

Atomic structure:
Cell: 7.330 7.330 9.625 Å, 94.52 94.52 29.88°
Fractional positions:
1 As 0.120 0.120 0.435
2 As 0.295 0.295 0.861
3 As 0.705 0.705 0.139
4 As 0.880 0.880 0.565
5 Se 0.134 0.134 0.969
6 Se 0.274 0.274 0.335
7 Se 0.460 0.460 0.709
8 Se 0.540 0.540 0.291
9 Se 0.726 0.726 0.665
10 Se 0.866 0.866 0.031

Question: Which formula does entry 1 have?
Answer: PbI2